Structure and simulated powder diffraction line list of Cs2Ca4Rh (the GGA-PBE geometry in Alexandria; λ = 1.5418 Å (Cu Kα)).

Largest 10 diffraction maxima, in order of rising 2θ, 2θ = 15–90°:
| d/Å | Rel. int. |
| --- | --- |
| 4.658 | 100 |
| 4.067 | 50 |
| 3.970 | 24 |
| 3.669 | 21 |
| 2.876 | 44 |
| 2.447 | 38 |
| 2.404 | 29 |
| 2.329 | 23 |
| 2.034 | 16 |
| 1.845 | 21 |

```
data_Cs2Ca4Rh
_chemical_formula_sum 'Cs4 Ca8 Rh2'
_cell_length_a 5.7521
_cell_length_b 5.7521
_cell_length_c 23.8190
_cell_angle_alpha 90.00
_cell_angle_beta 90.00
_cell_angle_gamma 90.00
_symmetry_space_group_name_H-M 'I 4/m m m'
_symmetry_Int_Tables_number 139
_symmetry_space_group_name_Hall '-I 4 2'
loop_
_atom_site_label
_atom_site_type_symbol
_atom_site_fract_x
_atom_site_fract_y
_atom_site_fract_z
_atom_site_occupancy
Cs1 Cs 0.0000 0.0000 0.1816 1
Ca1 Ca 0.0000 0.0000 0.3888 1
Ca2 Ca 0.0000 0.5000 0.0000 1
Rh1 Rh 0.0000 0.0000 0.5000 1
```


Structure and simulated powder diffraction line list of Cs2CaVS4 (the GGA-PBE geometry in Alexandria; λ = 1.5418 Å (Cu Kα)).

Largest 10 diffraction maxima, in order of rising 2θ, 2θ = 15–90°:
| d/Å | Rel. int. |
| --- | --- |
| 4.833 | 85 |
| 3.783 | 22 |
| 3.685 | 86 |
| 3.577 | 27 |
| 3.494 | 100 |
| 3.072 | 58 |
| 2.922 | 47 |
| 2.569 | 55 |
| 2.086 | 56 |
| 1.912 | 27 |

```
data_Cs2CaVS4
_chemical_formula_sum 'Cs16 Ca8 V8 S32'
_cell_length_a 6.4018
_cell_length_b 14.3085
_cell_length_c 25.7910
_cell_angle_alpha 90.00
_cell_angle_beta 90.00
_cell_angle_gamma 90.00
_symmetry_space_group_name_H-M 'F d d d'
_symmetry_Int_Tables_number 70
loop_
_symmetry_equiv_pos_as_xyz
'x,y,z'
'-x,-y,-z'
'-x+1/4,-y+1/4,z'
'x+1/4,y+1/4,-z'
'x,-y+1/4,-z+1/4'
'-x,y+1/4,z+1/4'
'-x+1/4,y,-z+1/4'
'x+1/4,-y,z+1/4'
'x,y+1/2,z+1/2'
'-x,-y+1/2,-z+1/2'
'-x+1/4,-y+3/4,z+1/2'
'x+1/4,y+3/4,-z+1/2'
'x,-y+3/4,-z+3/4'
'-x,y+3/4,z+3/4'
'-x+1/4,y+1/2,-z+3/4'
'x+1/4,-y+1/2,z+3/4'
'x+1/2,y,z+1/2'
'-x+1/2,-y,-z+1/2'
'-x+3/4,-y+1/4,z+1/2'
'x+3/4,y+1/4,-z+1/2'
'x+1/2,-y+1/4,-z+3/4'
'-x+1/2,y+1/4,z+3/4'
'-x+3/4,y,-z+3/4'
'x+3/4,-y,z+3/4'
'x+1/2,y+1/2,z'
'-x+1/2,-y+1/2,-z'
'-x+3/4,-y+3/4,z'
'x+3/4,y+3/4,-z'
'x+1/2,-y+3/4,-z+1/4'
'-x+1/2,y+3/4,z+1/4'
'-x+3/4,y+1/2,-z+1/4'
'x+3/4,-y+1/2,z+1/4'
loop_
_atom_site_label
_atom_site_type_symbol
_atom_site_fract_x
_atom_site_fract_y
_atom_site_fract_z
_atom_site_occupancy
Cs1 Cs 0.1250 0.1250 0.3040 1
Ca1 Ca 0.1250 0.1250 0.1250 1
V1 V 0.1250 0.1250 0.6250 1
S1 S 0.0729 0.2820 0.8258 1
```


Structure and simulated powder diffraction line list of CsCaSb2 (the GGA-PBE geometry in Alexandria; λ = 1.5418 Å (Cu Kα)).

Largest 10 diffraction maxima, in order of rising 2θ, 2θ = 15–90°:
| d/Å | Rel. int. |
| --- | --- |
| 4.582 | 93 |
| 3.975 | 100 |
| 3.446 | 46 |
| 2.918 | 38 |
| 2.707 | 36 |
| 2.695 | 65 |
| 2.627 | 40 |
| 2.615 | 33 |
| 2.011 | 28 |
| 1.988 | 33 |

```
data_CsCaSb2
_chemical_formula_sum 'Cs4 Ca4 Sb8'
_cell_length_a 6.0779
_cell_length_b 6.0779
_cell_length_c 20.9173
_cell_angle_alpha 90.00
_cell_angle_beta 90.00
_cell_angle_gamma 90.00
_symmetry_space_group_name_H-M 'I -4 2 d'
_symmetry_Int_Tables_number 122
_symmetry_space_group_name_Hall 'I -4 2bw'
loop_
_atom_site_label
_atom_site_type_symbol
_atom_site_fract_x
_atom_site_fract_y
_atom_site_fract_z
_atom_site_occupancy
Cs1 Cs 0.0000 0.0000 0.0000 1
Ca1 Ca 0.0000 0.0000 0.5000 1
Sb1 Sb 0.0767 0.2500 0.6250 1
```


Structure and simulated powder diffraction line list of Cs2CaSiSe4 (the GGA-PBE geometry in Alexandria; λ = 1.5418 Å (Cu Kα)).

Largest 10 diffraction maxima, in order of rising 2θ, 2θ = 15–90°:
| d/Å | Rel. int. |
| --- | --- |
| 3.910 | 31 |
| 3.798 | 34 |
| 3.608 | 100 |
| 3.314 | 36 |
| 3.181 | 28 |
| 3.169 | 90 |
| 2.632 | 28 |
| 2.060 | 28 |
| 1.976 | 27 |
| 1.811 | 24 |

```
data_Cs2CaSiSe4
_chemical_formula_sum 'Cs16 Ca8 Si8 Se32'
_cell_length_a 6.5544
_cell_length_b 14.8667
_cell_length_c 26.5113
_cell_angle_alpha 90.00
_cell_angle_beta 90.00
_cell_angle_gamma 90.00
_symmetry_space_group_name_H-M 'F d d d'
_symmetry_Int_Tables_number 70
loop_
_symmetry_equiv_pos_as_xyz
'x,y,z'
'-x,-y,-z'
'-x+1/4,-y+1/4,z'
'x+1/4,y+1/4,-z'
'x,-y+1/4,-z+1/4'
'-x,y+1/4,z+1/4'
'-x+1/4,y,-z+1/4'
'x+1/4,-y,z+1/4'
'x,y+1/2,z+1/2'
'-x,-y+1/2,-z+1/2'
'-x+1/4,-y+3/4,z+1/2'
'x+1/4,y+3/4,-z+1/2'
'x,-y+3/4,-z+3/4'
'-x,y+3/4,z+3/4'
'-x+1/4,y+1/2,-z+3/4'
'x+1/4,-y+1/2,z+3/4'
'x+1/2,y,z+1/2'
'-x+1/2,-y,-z+1/2'
'-x+3/4,-y+1/4,z+1/2'
'x+3/4,y+1/4,-z+1/2'
'x+1/2,-y+1/4,-z+3/4'
'-x+1/2,y+1/4,z+3/4'
'-x+3/4,y,-z+3/4'
'x+3/4,-y,z+3/4'
'x+1/2,y+1/2,z'
'-x+1/2,-y+1/2,-z'
'-x+3/4,-y+3/4,z'
'x+3/4,y+3/4,-z'
'x+1/2,-y+3/4,-z+1/4'
'-x+1/2,y+3/4,z+1/4'
'-x+3/4,y+1/2,-z+1/4'
'x+3/4,-y+1/2,z+1/4'
loop_
_atom_site_label
_atom_site_type_symbol
_atom_site_fract_x
_atom_site_fract_y
_atom_site_fract_z
_atom_site_occupancy
Cs1 Cs 0.1250 0.1250 0.3059 1
Ca1 Ca 0.1250 0.1250 0.1250 1
Si1 Si 0.1250 0.1250 0.6250 1
Se1 Se 0.0700 0.2816 0.8242 1
```


Structure and simulated powder diffraction line list of CsCaTlSiSe (the GGA-PBE geometry in Alexandria; λ = 1.5418 Å (Cu Kα)).

Largest 10 diffraction maxima, in order of rising 2θ, 2θ = 15–90°:
| d/Å | Rel. int. |
| --- | --- |
| 4.421 | 36 |
| 3.834 | 23 |
| 3.616 | 60 |
| 3.427 | 21 |
| 3.129 | 100 |
| 2.556 | 62 |
| 2.309 | 19 |
| 2.049 | 46 |
| 1.946 | 22 |
| 1.565 | 25 |

```
data_CsCaTlSiSe
_chemical_formula_sum 'Cs2 Ca2 Tl2 Si2 Se2'
_cell_length_a 4.6175
_cell_length_b 5.1144
_cell_length_c 15.3353
_cell_angle_alpha 90.00
_cell_angle_beta 90.00
_cell_angle_gamma 90.00
_symmetry_space_group_name_H-M 'I m m 2'
_symmetry_Int_Tables_number 44
loop_
_symmetry_equiv_pos_as_xyz
'x,y,z'
'-x,-y,z'
'-x,y,z'
'x,-y,z'
'x+1/2,y+1/2,z+1/2'
'-x+1/2,-y+1/2,z+1/2'
'-x+1/2,y+1/2,z+1/2'
'x+1/2,-y+1/2,z+1/2'
loop_
_atom_site_label
_atom_site_type_symbol
_atom_site_fract_x
_atom_site_fract_y
_atom_site_fract_z
_atom_site_occupancy
Cs1 Cs 0.0000 0.0000 0.0000 1
Ca1 Ca 0.0000 0.5000 0.7624 1
Tl1 Tl 0.0000 0.5000 0.2411 1
Si1 Si 0.0000 0.0000 0.6543 1
Se1 Se 0.0000 0.0000 0.3705 1
```


Structure and simulated powder diffraction line list of CsCaTlSiSe (the GGA-PBE geometry in Alexandria; λ = 1.5418 Å (Cu Kα)).

Largest 10 diffraction maxima, in order of rising 2θ, 2θ = 15–90°:
| d/Å | Rel. int. |
| --- | --- |
| 3.928 | 50 |
| 3.631 | 82 |
| 3.172 | 32 |
| 3.029 | 100 |
| 2.468 | 39 |
| 2.268 | 57 |
| 1.845 | 41 |
| 1.815 | 22 |
| 1.713 | 20 |
| 1.417 | 20 |

```
data_CsCaTlSiSe
_chemical_formula_sum 'Cs1 Ca1 Tl1 Si1 Se1'
_cell_length_a 4.5353
_cell_length_b 4.5353
_cell_length_c 9.5162
_cell_angle_alpha 90.00
_cell_angle_beta 90.00
_cell_angle_gamma 120.00
_symmetry_space_group_name_H-M 'P 3 m 1'
_symmetry_Int_Tables_number 156
loop_
_symmetry_equiv_pos_as_xyz
'x,y,z'
'-y,x-y,z'
'-x+y,-x,z'
'-y,-x,z'
'-x+y,y,z'
'x,x-y,z'
loop_
_atom_site_label
_atom_site_type_symbol
_atom_site_fract_x
_atom_site_fract_y
_atom_site_fract_z
_atom_site_occupancy
Cs1 Cs 0.0000 0.0000 0.0000 1
Ca1 Ca 0.0000 0.0000 0.4108 1
Tl1 Tl 0.6667 0.3333 0.6447 1
Si1 Si 0.3333 0.6667 0.6922 1
Se1 Se 0.6667 0.3333 0.2769 1
```